The following is a theoretical X-ray powder pattern of Al2Au3. It was derived from a crystal structure in Alexandria, relaxed with GGA-PBE, using Cu Kα X-rays.
Kinematic intensities with the Lorentz-polarization factor, no thermal factor.

Main lines, most intense first (2θ from 10° to 90°):
2θ (°)	I_rel	h k l
40.3	100	3 1 2
31.3	68	2 1 1
28.1	56	1 1 1
31.0	47	3 0 2
40.4	39	1 1 3
40.6	37	0 0 4

Structure:
```
data_Al2Au3
_cell_length_a 11.358
_cell_length_b 3.562
_cell_length_c 8.882
_cell_angle_alpha 90.00
_cell_angle_beta 90.00
_cell_angle_gamma 90.00
_symmetry_space_group_name_H-M 'P n m a'
_symmetry_Int_Tables_number 62
loop_
_symmetry_equiv_pos_as_xyz
'x,y,z'
'-x,-y,-z'
'-x+1/2,-y,z+1/2'
'x+1/2,y,-z+1/2'
'x+1/2,-y+1/2,-z+1/2'
'-x+1/2,y+1/2,z+1/2'
'-x,y+1/2,-z'
'x,-y+1/2,z'
loop_
_atom_site_label
_atom_site_type_symbol
_atom_site_fract_x
_atom_site_fract_y
_atom_site_fract_z
Al1 Al 0.042 0.250 0.153
Al2 Al 0.188 0.250 0.429
Au1 Au 0.016 0.750 0.372
Au2 Au 0.131 0.250 0.886
Au3 Au 0.224 0.750 0.651
```